Computed powder diffractogram
Compound: Cd3BPt6
Radiation: a wavelength of 1.5418 Å
Structure: a structure optimized by DFT (GGA-PBE)

Lattice parameters (Å, degrees): 5.1370 5.1370 7.0577 90.00 90.00 120.00
Space group P-31m (No. 162)
Symmetry-distinct sites (fractional):
Cd  0.0000  0.0000  0.0000 x1
Cd  0.3333  0.6667  0.0000 x2
B  0.0000  0.0000  0.5000 x1
Pt  0.0000  0.3422  0.3281 x6

Largest 10 diffraction maxima, in order of rising 2θ, 2θ from 15° to 90°:
2θ = 37.25°, intensity 100; 2θ = 38.26°, intensity 30; 2θ = 43.58°, intensity 64; 2θ = 62.65°, intensity 21; 2θ = 64.02°, intensity 21; 2θ = 75.20°, intensity 13; 2θ = 75.84°, intensity 24; 2θ = 77.10°, intensity 12; 2θ = 79.41°, intensity 11; 2θ = 81.90°, intensity 3


Computed powder diffractogram
Compound: K8Rb3Hg2
Radiation: a wavelength of 1.5418 Å
Structure: a structure optimized by DFT (GGA-PBE)

Lattice parameters (Å, degrees): 11.464 5.881 13.090 90.00 102.48 90.00
Space group P2/m (No. 10)
Symmetry-distinct sites (fractional):
K  0.066  0.000  0.265 x2
K  0.154  0.500  0.941 x2
K  0.357  0.500  0.245 x2
K  0.398  0.000  0.850 x2
Rb  0.197  0.500  0.577 x2
Rb  0.500  0.000  0.500 x1
Hg  0.273  0.000  0.088 x2

Largest 10 diffraction maxima, in order of rising 2θ, 2θ from 15° to 90°:
2θ = 15.85°, intensity 76; 2θ = 16.59°, intensity 57; 2θ = 17.40°, intensity 37; 2θ = 23.10°, intensity 49; 2θ = 24.05°, intensity 100; 2θ = 24.90°, intensity 51; 2θ = 25.65°, intensity 99; 2θ = 28.36°, intensity 38; 2θ = 30.41°, intensity 69; 2θ = 38.54°, intensity 43


Question: Number 1 is which compound?
Answer: Cd3BPt6